For NbAgWO7, a GGA+U-relaxed structure gives the calculated powder diffraction line list in this record (CuKα).

Atomic structure:
a = 7.4761 Å, b = 7.4761 Å, c = 7.4761 Å
α = 121.16°, β = 119.66°, γ = 89.29°
Fractional positions:
Nb (0.0000, 0.0000, 0.0000)
Nb (0.5000, 0.0000, 0.5000)
Ag (0.5000, 0.0000, 0.0000)
Ag (0.5000, 0.5000, 0.5000)
W (0.0000, 0.0000, 0.5000)
W (0.0000, 0.5000, 0.0000)
O (0.0557, 0.3057, 0.7500)
O (0.0622, 0.3164, 0.1213)
O (0.0622, 0.9409, 0.7458)
O (0.3049, 0.0591, 0.6213)
O (0.3049, 0.6836, 0.2458)
O (0.3143, 0.0643, 0.2500)
O (0.4246, 0.6746, 0.7500)
O (0.5754, 0.3254, 0.2500)
O (0.6857, 0.9357, 0.7500)
O (0.6951, 0.3164, 0.7542)
O (0.6951, 0.9409, 0.3787)
O (0.9378, 0.0591, 0.2542)
O (0.9378, 0.6836, 0.8787)
O (0.9443, 0.6943, 0.2500)

Peak list (8 most intense, 2θ = 10–90°, low angle first)
14.66 deg, intensity 46; 16.67 deg, intensity 53; 29.10 deg, intensity 100; 29.56 deg, intensity 87; 34.14 deg, intensity 39; 48.73 deg, intensity 53; 57.77 deg, intensity 40; 58.59 deg, intensity 27